Simulated powder X-ray diffraction pattern of BaCrAg for copper Kα, from a DFT-relaxed cell (GGA-PBE, Alexandria).
No peak broadening, texture or thermal motion is included.

Structure:
Cell: 4.8897 4.8897 4.5362 Å, 90.00 90.00 120.00°
Fractional coordinates of all 3 atoms:
Ba (0.0000, 0.0000, 0.0000)
Cr (0.6667, 0.3333, 0.5000)
Ag (0.3333, 0.6667, 0.5000)

Main lines, in order of falling intensity (2θ from 10° to 80°):
2θ 28.84, I 100; 2θ 36.76, I 47; 2θ 55.24, I 28; 2θ 47.38, I 25; 2θ 61.43, I 22; 2θ 39.74, I 13; 2θ 20.98, I 11; 2θ 65.55, I 9; 2θ 66.21, I 8; 2θ 77.59, I 6

---

Simulated powder X-ray diffraction pattern of CsBaAgO2 for copper Kα, from a DFT-relaxed cell (GGA-PBE, Alexandria).
No peak broadening, texture or thermal motion is included.

Structure:
Cell: 8.2077 8.2077 6.0811 Å, 90.00 90.00 122.95°
Fractional coordinates of all 10 atoms:
Cs (0.2500, 0.7500, 0.9354)
Cs (0.7500, 0.2500, 0.0646)
Ba (0.2500, 0.2500, 0.5000)
Ba (0.7500, 0.7500, 0.5000)
Ag (0.0000, 0.0000, 0.0000)
Ag (0.5000, 0.5000, 0.0000)
O (0.0795, 0.9205, 0.7169)
O (0.4205, 0.5795, 0.7169)
O (0.5795, 0.4205, 0.2831)
O (0.9205, 0.0795, 0.2831)

Main lines, in order of falling intensity (2θ from 10° to 80°):
2θ 27.07, I 100; 2θ 36.96, I 92; 2θ 24.69, I 64; 2θ 12.27, I 45; 2θ 19.09, I 37; 2θ 38.74, I 36; 2θ 29.38, I 29; 2θ 58.35, I 24; 2θ 29.82, I 18; 2θ 61.93, I 17

---

Simulated powder X-ray diffraction pattern of BaCuAg for copper Kα, from a DFT-relaxed cell (GGA-PBE, Alexandria).
No peak broadening, texture or thermal motion is included.

Structure:
Cell: 4.5778 4.5778 16.2154 Å, 90.00 90.00 90.00°
Fractional coordinates of all 12 atoms:
Ba (0.0000, 0.0000, 0.0000)
Ba (0.0000, 0.5000, 0.2500)
Ba (0.5000, 0.0000, 0.7500)
Ba (0.5000, 0.5000, 0.5000)
Cu (0.0000, 0.0000, 0.4238)
Cu (0.0000, 0.0000, 0.5762)
Cu (0.5000, 0.5000, 0.0762)
Cu (0.5000, 0.5000, 0.9238)
Ag (0.0000, 0.5000, 0.6621)
Ag (0.0000, 0.5000, 0.8379)
Ag (0.5000, 0.0000, 0.1621)
Ag (0.5000, 0.0000, 0.3379)

Main lines, in order of falling intensity (2θ from 10° to 80°):
2θ 29.72, I 100; 2θ 33.87, I 61; 2θ 39.37, I 46; 2θ 52.89, I 33; 2θ 43.80, I 28; 2θ 25.50, I 26; 2θ 60.34, I 21; 2θ 65.50, I 20; 2θ 56.89, I 15; 2θ 64.25, I 10